Entry 1:
Computed X-ray diffraction stick pattern of AlIrO3 for copper Kα, from a DFT-relaxed cell (GGA-PBE, the Materials Project).

Main lines, low angle first (2θ = 10–90°):
2θ 24.3, intensity 63, (1 0 0); 2θ 34.6, intensity 100, (1 1 0); 2θ 42.7, intensity 41, (1 1 1); 2θ 49.8, intensity 31, (2 0 0); 2θ 56.1, intensity 29, (2 1 0); 2θ 62.0, intensity 39, (2 1 1); 2θ 73.0, intensity 19, (2 2 0); 2θ 78.3, intensity 14, (3 0 0); 2θ 83.4, intensity 18, (3 1 0); 2θ 88.5, intensity 14, (3 1 1)

Structural model:
Cell lengths 3.6641, 3.6641, 3.6641 Å; angles 90.00, 90.00, 90.00 degrees
Space group Pm-3m (No. 221)
Asymmetric unit:
Al (0.0000, 0.0000, 0.0000) (multiplicity 1)
Ir (0.5000, 0.5000, 0.5000) (multiplicity 1)
O (0.0000, 0.0000, 0.5000) (multiplicity 3)

Entry 2:
Computed X-ray diffraction stick pattern of Al2IrOs for copper Kα, from a DFT-relaxed cell (GGA-PBE, the Materials Project).

Main lines, low angle first (2θ = 10–90°):
2θ 29.6, intensity 73, (2 0 0); 2θ 42.4, intensity 100, (2 2 0); 2θ 52.6, intensity 20, (2 2 2); 2θ 61.5, intensity 17, (4 0 0); 2θ 69.7, intensity 26, (4 2 0); 2θ 77.5, intensity 35, (4 2 2)

Structural model:
Cell lengths 6.0317, 6.0317, 6.0317 Å; angles 90.00, 90.00, 90.00 degrees
Space group Fm-3m (No. 225)
Asymmetric unit:
Al (0.2500, 0.2500, 0.2500) (multiplicity 8)
Ir (0.0000, 0.0000, 0.0000) (multiplicity 4)
Os (0.0000, 0.0000, 0.5000) (multiplicity 4)

Entry 3:
Computed X-ray diffraction stick pattern of Pr2Al9Ir3 for copper Kα, from a DFT-relaxed cell (GGA-PBE, the Materials Project).

Main lines, low angle first (2θ = 10–90°):
2θ 23.3, intensity 36, (3 1 0); 2θ 29.7, intensity 51, (0 2 2); 2θ 29.9, intensity 100, (3 1 2); 2θ 36.6, intensity 24, (3 1 3); 2θ 37.3, intensity 33, (0 0 4); 2θ 40.7, intensity 58, (3 3 0); 2θ 41.1, intensity 28, (6 0 0); 2θ 51.5, intensity 28, (6 2 2); 2θ 56.4, intensity 31, (3 3 4); 2θ 62.7, intensity 26, (0 2 6)

Structural model:
Cell lengths 13.1694, 7.7002, 9.6404 Å; angles 90.00, 90.00, 90.00 degrees
Space group Cmcm (No. 63)
Asymmetric unit:
Pr (0.1629, 0.1678, 0.2500) (multiplicity 8)
Al (0.0000, 0.1300, 0.7500) (multiplicity 4)
Al (0.0000, 0.3349, 0.0489) (multiplicity 8)
Al (0.1032, 0.4411, 0.7500) (multiplicity 8)
Al (0.1656, 0.1694, 0.5717) (multiplicity 16)
Ir (0.0000, 0.0000, 0.0000) (multiplicity 4)
Ir (0.1707, 0.5000, 0.0000) (multiplicity 8)

Entry 4:
Computed X-ray diffraction stick pattern of Al2IrRh for copper Kα, from a DFT-relaxed cell (GGA-PBE, the Materials Project).

Main lines, low angle first (2θ = 10–90°):
2θ 25.6, intensity 14, (1 1 1); 2θ 29.6, intensity 63, (2 0 0); 2θ 42.4, intensity 100, (2 2 0); 2θ 50.2, intensity 7, (3 1 1); 2θ 52.6, intensity 17, (2 2 2); 2θ 61.5, intensity 17, (4 0 0); 2θ 67.7, intensity 3, (3 3 1); 2θ 69.7, intensity 22, (4 2 0); 2θ 77.5, intensity 34, (4 2 2); 2θ 83.2, intensity 3, (5 1 1)

Structural model:
Cell lengths 6.0314, 6.0314, 6.0314 Å; angles 90.00, 90.00, 90.00 degrees
Space group Fm-3m (No. 225)
Asymmetric unit:
Al (0.2500, 0.2500, 0.2500) (multiplicity 8)
Ir (0.0000, 0.0000, 0.0000) (multiplicity 4)
Rh (0.0000, 0.0000, 0.5000) (multiplicity 4)

Entry 5:
Computed X-ray diffraction stick pattern of ScAlIr2 for copper Kα, from a DFT-relaxed cell (GGA-PBE, the Materials Project).

Main lines, low angle first (2θ = 10–90°):
2θ 28.6, intensity 59, (2 0 0); 2θ 40.8, intensity 100, (2 2 0); 2θ 50.6, intensity 17, (2 2 2); 2θ 59.1, intensity 17, (4 0 0); 2θ 67.0, intensity 23, (4 2 0); 2θ 74.4, intensity 34, (4 2 2); 2θ 88.5, intensity 11, (4 4 0)

Structural model:
Cell lengths 6.2486, 6.2486, 6.2486 Å; angles 90.00, 90.00, 90.00 degrees
Space group Fm-3m (No. 225)
Asymmetric unit:
Sc (0.0000, 0.0000, 0.0000) (multiplicity 4)
Al (0.0000, 0.0000, 0.5000) (multiplicity 4)
Ir (0.2500, 0.2500, 0.2500) (multiplicity 8)

Entry 6:
Computed X-ray diffraction stick pattern of Sc6Al16Ir7 for copper Kα, from a DFT-relaxed cell (GGA-PBE, the Materials Project).

Main lines, low angle first (2θ = 10–90°):
2θ 24.9, intensity 90, (2 2 2); 2θ 28.9, intensity 61, (4 0 0); 2θ 41.3, intensity 100, (4 4 0); 2θ 48.8, intensity 61, (6 2 2); 2θ 51.1, intensity 17, (4 4 4); 2θ 59.8, intensity 13, (8 0 0); 2θ 65.8, intensity 23, (6 6 2); 2θ 67.7, intensity 23, (8 4 0); 2θ 75.2, intensity 26, (8 4 4); 2θ 80.7, intensity 22, (6 6 6)

Structural model:
Cell lengths 12.3765, 12.3765, 12.3765 Å; angles 90.00, 90.00, 90.00 degrees
Space group Fm-3m (No. 225)
Asymmetric unit:
Sc (0.0000, 0.0000, 0.2062) (multiplicity 24)
Al (0.1200, 0.1200, 0.3800) (multiplicity 32)
Al (0.1651, 0.1651, 0.1651) (multiplicity 32)
Ir (0.0000, 0.0000, 0.5000) (multiplicity 4)
Ir (0.0000, 0.2500, 0.2500) (multiplicity 24)